Calculated powder diffraction line list
Compound: Fe4MoF12
Radiation: copper Kα
Structure: the PBE+U geometry in Alexandria
Kinematic intensities with the Lorentz-polarization factor, no thermal factor.

Principal peaks in the range 5 to 70 degrees two-theta, by angle:
2θ/deg	Rel. int.	h k l
15.46	100	0 1 1
15.89	75	1 0 1
16.16	74	1 1 0
21.53	64	0 0 2
22.31	48	0 2 0
31.20	61	0 2 2
32.11	69	2 0 2
32.65	70	2 2 0
43.88	81	0 0 4
58.48	61	4 2 2

Crystal structure
abc: 7.5628 7.9697 8.2529
angles: 90.00 90.00 90.00
Space group Immm (No. 71)
Inequivalent atoms, fractional coordinates:
1 Fe 0.2500 0.2500 0.2500 (multiplicity 8)
2 Mo 0.0000 0.0000 0.0000 (multiplicity 2)
3 F 0.0000 0.3069 0.2896 (multiplicity 8)
4 F 0.1749 0.0000 0.2466 (multiplicity 8)
5 F 0.1774 0.2089 0.0000 (multiplicity 8)